1.
AgIF6: calculated X-ray diffraction stick pattern (Cu Ka), based on DFT lattice parameters and positions (PBE).

Peak list (10 most intense, 2θ from 10° to 80°, by angle)
21.36 deg, d 4.159, intensity 100.0, hkl 1 1 0; 28.70 deg, d 3.110, intensity 38.8, hkl 1 1 2; 32.00 deg, d 2.797, intensity 18.5, hkl 1 2 1; 38.77 deg, d 2.322, intensity 9.7, hkl 2 0 0; 43.52 deg, d 2.080, intensity 15.4, hkl 2 2 0; 46.68 deg, d 1.946, intensity 14.4, hkl 1 -1 2; 46.76 deg, d 1.943, intensity 16.8, hkl 2 1 -1; 48.67 deg, d 1.871, intensity 8.2, hkl 0 1 3; 51.12 deg, d 1.787, intensity 10.4, hkl 1 3 2; 55.08 deg, d 1.667, intensity 8.9, hkl 3 1 0

Structural model:
Unit cell a=5.587 b=5.592 c=6.294 alpha=63.78 beta=63.68 gamma=60.12
Space group P-1 (No. 2)
One atom of each set of equivalent atoms:
Ag1 0.000 0.000 0.000
I1 0.500 0.500 0.500
F1 0.142 0.414 0.719
F2 0.274 0.857 0.282
F3 0.414 0.726 0.718

2.
AgIF: calculated X-ray diffraction stick pattern (Cu Ka), based on DFT lattice parameters and positions (PBE).

Peak list (10 most intense, 2θ from 10° to 80°, by angle)
23.02 deg, d 3.864, intensity 100.0, hkl 1 0 0; 29.26 deg, d 3.053, intensity 54.7, hkl 0 0 2; 30.86 deg, d 2.898, intensity 67.1, hkl 0 2 0; 32.45 deg, d 2.759, intensity 58.6, hkl 1 0 -2; 38.85 deg, d 2.318, intensity 50.9, hkl 1 2 0; 42.12 deg, d 2.145, intensity 27.9, hkl 1 0 2; 43.04 deg, d 2.102, intensity 38.0, hkl 0 2 2; 45.38 deg, d 1.998, intensity 44.5, hkl 1 2 -2; 53.12 deg, d 1.724, intensity 27.3, hkl 1 2 2; 57.32 deg, d 1.607, intensity 21.5, hkl 2 2 0

Structural model:
Unit cell a=3.994 b=5.796 c=6.311 alpha=90.00 beta=104.68 gamma=90.00
Space group Pc (No. 7)
One atom of each set of equivalent atoms:
Ag1 0.000 0.000 0.000
I1 0.996 0.500 0.001
F1 0.499 0.001 0.251